No. 1
Theoretical PXRD pattern
Compound: Na6Fe2B4PO16
Radiation: CuKα
Structure: a GGA+U-relaxed structure
Intensities are scaled so that the largest is 100.

The 10 most intense peaks (10 to 90 degrees two-theta), sorted by position:
| 2θ (°) | d/Å | Rel. int. |
| --- | --- | --- |
| 10.8 | 8.157 | 39 |
| 20.9 | 4.260 | 100 |
| 21.8 | 4.079 | 23 |
| 32.9 | 2.719 | 92 |
| 36.0 | 2.498 | 59 |
| 37.7 | 2.388 | 19 |
| 42.4 | 2.130 | 19 |
| 45.9 | 1.978 | 27 |
| 56.4 | 1.631 | 31 |
| 56.8 | 1.621 | 18 |

Atomic structure:
```
Na6Fe2B4PO16
1.0
0.0000 7.0643 7.0643
7.0643 0.0000 7.0643
7.0643 7.0643 0.0000
Na Fe B P O
12 4 8 2 32
direct
0.0876 0.0876 0.6624
0.0876 0.6624 0.0876
0.0876 0.6624 0.6624
0.3376 0.3376 0.9124
0.3376 0.9124 0.3376
0.3376 0.9124 0.9124
0.6624 0.0876 0.0876
0.6624 0.0876 0.6624
0.6624 0.6624 0.0876
0.9124 0.3376 0.3376
0.9124 0.3376 0.9124
0.9124 0.9124 0.3376
0.0000 0.5000 0.5000
0.5000 0.0000 0.5000
0.5000 0.5000 0.0000
0.5000 0.5000 0.5000
0.2873 0.2873 0.2873
0.2873 0.2873 0.6380
0.2873 0.6380 0.2873
0.3620 0.7127 0.7127
0.6380 0.2873 0.2873
0.7127 0.3620 0.7127
0.7127 0.7127 0.3620
0.7127 0.7127 0.7127
0.1250 0.1250 0.1250
0.8750 0.8750 0.8750
0.0615 0.0615 0.0615
0.0615 0.0615 0.3154
0.0615 0.3154 0.0615
0.1362 0.3137 0.6419
0.1362 0.4082 0.3137
0.1362 0.6419 0.4082
0.3137 0.1362 0.4082
0.3137 0.4082 0.6419
0.3137 0.6419 0.1362
0.3154 0.0615 0.0615
0.3581 0.5918 0.8638
0.3581 0.6863 0.5918
0.3581 0.8638 0.6863
0.4082 0.1362 0.6419
0.4082 0.3137 0.1362
0.4082 0.6419 0.3137
0.5918 0.3581 0.6863
0.5918 0.6863 0.8638
0.5918 0.8638 0.3581
0.6419 0.1362 0.3137
0.6419 0.3137 0.4082
0.6419 0.4082 0.1362
0.6846 0.9385 0.9385
0.6863 0.3581 0.8638
0.6863 0.5918 0.3581
0.6863 0.8638 0.5918
0.8638 0.3581 0.5918
0.8638 0.5918 0.6863
0.8638 0.6863 0.3581
0.9385 0.6846 0.9385
0.9385 0.9385 0.6846
0.9385 0.9385 0.9385
```

No. 2
Theoretical PXRD pattern
Compound: Na6Fe2B4SO16
Radiation: CuKα
Structure: a GGA+U-relaxed structure
Intensities are scaled so that the largest is 100.

The 10 most intense peaks (10 to 90 degrees two-theta), sorted by position:
| 2θ (°) | d/Å | Rel. int. |
| --- | --- | --- |
| 10.8 | 8.170 | 37 |
| 20.8 | 4.267 | 100 |
| 21.8 | 4.085 | 19 |
| 32.9 | 2.723 | 81 |
| 35.9 | 2.502 | 60 |
| 37.6 | 2.392 | 16 |
| 42.4 | 2.133 | 17 |
| 45.8 | 1.982 | 24 |
| 56.3 | 1.634 | 26 |
| 56.7 | 1.623 | 17 |

Atomic structure:
```
Na6Fe2B4SO16
1.0
0.0000 7.0758 7.0758
7.0758 0.0000 7.0758
7.0758 7.0758 0.0000
Na Fe B S O
12 4 8 2 32
direct
0.0930 0.0930 0.6570
0.0930 0.6570 0.0930
0.0930 0.6570 0.6570
0.3430 0.3430 0.9070
0.3430 0.9070 0.3430
0.3430 0.9070 0.9070
0.6570 0.0930 0.0930
0.6570 0.0930 0.6570
0.6570 0.6570 0.0930
0.9070 0.3430 0.3430
0.9070 0.3430 0.9070
0.9070 0.9070 0.3430
0.0000 0.5000 0.5000
0.5000 0.0000 0.5000
0.5000 0.5000 0.0000
0.5000 0.5000 0.5000
0.2874 0.2874 0.2874
0.2874 0.2874 0.6379
0.2874 0.6379 0.2874
0.3621 0.7126 0.7126
0.6379 0.2874 0.2874
0.7126 0.3621 0.7126
0.7126 0.7126 0.3621
0.7126 0.7126 0.7126
0.1250 0.1250 0.1250
0.8750 0.8750 0.8750
0.0639 0.0639 0.0639
0.0639 0.0639 0.3082
0.0639 0.3082 0.0639
0.1359 0.3153 0.4063
0.1359 0.4063 0.6425
0.1359 0.6425 0.3153
0.3082 0.0639 0.0639
0.3153 0.1359 0.6425
0.3153 0.4063 0.1359
0.3153 0.6425 0.4063
0.3575 0.5937 0.6847
0.3575 0.6847 0.8641
0.3575 0.8641 0.5937
0.4063 0.1359 0.3153
0.4063 0.3153 0.6425
0.4063 0.6425 0.1359
0.5937 0.3575 0.8641
0.5937 0.6847 0.3575
0.5937 0.8641 0.6847
0.6425 0.1359 0.4063
0.6425 0.3153 0.1359
0.6425 0.4063 0.3153
0.6847 0.3575 0.5937
0.6847 0.5937 0.8641
0.6847 0.8641 0.3575
0.6918 0.9361 0.9361
0.8641 0.3575 0.6847
0.8641 0.5937 0.3575
0.8641 0.6847 0.5937
0.9361 0.6918 0.9361
0.9361 0.9361 0.6918
0.9361 0.9361 0.9361
```

No. 3
Theoretical PXRD pattern
Compound: NdFe3B4O12
Radiation: CuKα
Structure: a GGA+U-relaxed structure
Intensities are scaled so that the largest is 100.

The 10 most intense peaks (10 to 90 degrees two-theta), sorted by position:
| 2θ (°) | d/Å | Rel. int. |
| --- | --- | --- |
| 15.6 | 5.683 | 25 |
| 18.3 | 4.844 | 21 |
| 24.1 | 3.687 | 77 |
| 30.5 | 2.934 | 26 |
| 31.5 | 2.842 | 100 |
| 36.7 | 2.451 | 16 |
| 37.1 | 2.422 | 24 |
| 45.5 | 1.993 | 22 |
| 51.8 | 1.764 | 28 |
| 52.1 | 1.754 | 20 |

Atomic structure:
```
NdFe3B4O12
1.0
4.8444 2.7969 2.5749
-4.8444 2.7969 2.5749
0.0000 -5.5939 2.5749
Nd Fe B O
1 3 4 12
direct
0.0000 0.0000 0.0000
0.0000 0.4493 0.5507
0.4493 0.5507 0.0000
0.5507 0.0000 0.4493
0.0534 0.9466 0.5000
0.5000 0.0534 0.9466
0.5000 0.5000 0.5000
0.9466 0.5000 0.0534
0.0292 0.7900 0.6264
0.0900 0.5000 0.9100
0.2100 0.9708 0.3736
0.3566 0.5000 0.6434
0.3736 0.2100 0.9708
0.5000 0.6434 0.3566
0.5000 0.9100 0.0900
0.6264 0.0292 0.7900
0.6434 0.3566 0.5000
0.7900 0.6264 0.0292
0.9100 0.0900 0.5000
0.9708 0.3736 0.2100
```

No. 4
Theoretical PXRD pattern
Compound: FeNi2BO5
Radiation: CuKα
Structure: a GGA+U-relaxed structure
Intensities are scaled so that the largest is 100.

The 10 most intense peaks (10 to 90 degrees two-theta), sorted by position:
| 2θ (°) | d/Å | Rel. int. |
| --- | --- | --- |
| 17.2 | 5.151 | 51 |
| 19.0 | 4.663 | 27 |
| 34.8 | 2.575 | 100 |
| 35.3 | 2.545 | 80 |
| 38.1 | 2.364 | 36 |
| 42.2 | 2.139 | 25 |
| 44.2 | 2.049 | 29 |
| 47.3 | 1.921 | 42 |
| 61.6 | 1.506 | 35 |
| 62.7 | 1.483 | 24 |

Atomic structure:
```
FeNi2BO5
1.0
9.3256 0.0000 0.0000
0.0000 12.3570 0.0000
0.0000 0.0000 3.0366
Fe Ni B O
4 8 4 20
direct
0.2397 0.1146 0.0000
0.2603 0.6146 0.0000
0.7397 0.3854 0.0000
0.7603 0.8854 0.0000
0.0000 0.0000 0.5000
0.0000 0.5000 0.0000
0.0007 0.2821 0.5000
0.4993 0.7821 0.5000
0.5000 0.0000 0.0000
0.5000 0.5000 0.5000
0.5007 0.2179 0.5000
0.9993 0.7179 0.5000
0.2267 0.8603 0.0000
0.2733 0.3603 0.0000
0.7267 0.6397 0.0000
0.7733 0.1397 0.0000
0.1074 0.1433 0.5000
0.1164 0.5776 0.5000
0.1250 0.3589 0.0000
0.1508 0.9576 0.0000
0.1516 0.7628 0.0000
0.3484 0.2628 0.0000
0.3492 0.4576 0.0000
0.3750 0.8589 0.0000
0.3836 0.0776 0.5000
0.3926 0.6433 0.5000
0.6074 0.3567 0.5000
0.6164 0.9224 0.5000
0.6250 0.1411 0.0000
0.6508 0.5424 0.0000
0.6516 0.7372 0.0000
0.8484 0.2372 0.0000
0.8492 0.0424 0.0000
0.8750 0.6411 0.0000
0.8836 0.4224 0.5000
0.8926 0.8567 0.5000
```

No. 5
Theoretical PXRD pattern
Compound: Fe2BO4
Radiation: CuKα
Structure: a GGA+U-relaxed structure
Intensities are scaled so that the largest is 100.

The 10 most intense peaks (10 to 90 degrees two-theta), sorted by position:
| 2θ (°) | d/Å | Rel. int. |
| --- | --- | --- |
| 13.1 | 6.739 | 16 |
| 20.8 | 4.275 | 33 |
| 29.5 | 3.026 | 28 |
| 33.8 | 2.648 | 31 |
| 34.0 | 2.638 | 100 |
| 35.3 | 2.546 | 17 |
| 44.7 | 2.029 | 17 |
| 49.7 | 1.834 | 23 |
| 56.4 | 1.632 | 21 |
| 60.0 | 1.542 | 18 |

Atomic structure:
```
Fe2BO4
1.0
9.4852 0.0000 0.0000
0.0000 3.1745 0.0000
0.0000 0.0000 9.5773
Fe B O
8 4 16
direct
0.1016 0.2500 0.1854
0.1184 0.2500 0.5665
0.3816 0.7500 0.0665
0.3984 0.7500 0.6854
0.6016 0.2500 0.3146
0.6184 0.2500 0.9335
0.8816 0.7500 0.4335
0.8984 0.7500 0.8146
0.1681 0.2500 0.8704
0.3319 0.7500 0.3704
0.6681 0.2500 0.6296
0.8319 0.7500 0.1296
0.0056 0.2500 0.3868
0.0257 0.2500 0.8723
0.2420 0.2500 0.7437
0.2441 0.2500 0.9976
0.2559 0.7500 0.4976
0.2580 0.7500 0.2437
0.4743 0.7500 0.3723
0.4944 0.7500 0.8868
0.5056 0.2500 0.1132
0.5257 0.2500 0.6277
0.7420 0.2500 0.7563
0.7441 0.2500 0.5024
0.7559 0.7500 0.0024
0.7580 0.7500 0.2563
0.9743 0.7500 0.1277
0.9944 0.7500 0.6132
```